(1)
Structure and theoretical powder diffractogram of Na2LiSmCl6 (a GGA-PBE-relaxed structure; Cu Ka).
Neutral-atom scattering factors, no anomalous dispersion.

Structure:
```
data_Na2LiSmCl6
_cell_length_a 6.9526
_cell_length_b 6.9531
_cell_length_c 7.3814
_cell_angle_alpha 90.04
_cell_angle_beta 118.04
_cell_angle_gamma 119.96
_space_group_name_H-M_alt 'P 1'
_space_group_IT_number 1
_space_group_name_Hall 'P 1'
loop_
_atom_site_label
_atom_site_type_symbol
_atom_site_fract_x
_atom_site_fract_y
_atom_site_fract_z
_atom_site_occupancy
Na1 Na 0.0000 0.0000 0.0000 1
Na2 Na 0.0084 0.5041 0.5114 1
Li1 Li 0.5826 0.7915 0.3750 1
Sm1 Sm 0.6031 0.3018 0.9046 1
Cl1 Cl 0.1025 0.1812 0.6800 1
Cl2 Cl 0.1105 0.4253 0.1839 1
Cl3 Cl 0.4989 0.0737 0.1841 1
Cl4 Cl 0.4993 0.9214 0.6797 1
Cl5 Cl 0.7589 0.5779 0.6798 1
Cl6 Cl 0.7590 0.6856 0.1842 1
```

The 10 most intense peaks (2θ = 10–80°), by angle:
2θ/deg	I/Imax
14.29	35
15.47	86
17.55	72
24.19	33
28.20	22
29.45	100
35.52	32
38.93	65
45.17	39
51.44	29

=====

(2)
Structure and theoretical powder diffractogram of NaLiSnCl4 (a GGA-PBE-relaxed structure; Cu Ka).
Neutral-atom scattering factors, no anomalous dispersion.

Structure:
```
data_NaLiSnCl4
_cell_length_a 7.9708
_cell_length_b 8.2008
_cell_length_c 11.3821
_cell_angle_alpha 90.00
_cell_angle_beta 90.00
_cell_angle_gamma 90.00
_space_group_name_H-M_alt 'I m m a'
_space_group_IT_number 74
_space_group_name_Hall '-I 2b 2'
loop_
_atom_site_label
_atom_site_type_symbol
_atom_site_fract_x
_atom_site_fract_y
_atom_site_fract_z
_atom_site_occupancy
Na1 Na 0.2500 0.2500 0.2500 1
Li1 Li 0.0000 0.2500 0.6395 1
Sn1 Sn 0.0000 0.0000 0.0000 1
Cl1 Cl 0.0000 0.0039 0.2492 1
Cl2 Cl 0.2454 0.2500 0.5008 1
```

The 10 most intense peaks (2θ = 10–80°), by angle:
2θ/deg	I/Imax
13.56	100
15.57	25
25.65	56
26.01	27
31.30	86
31.44	42
34.10	23
44.17	17
44.95	63
55.22	15

=====

(3)
Structure and theoretical powder diffractogram of Na2LiTlCl4 (a GGA-PBE-relaxed structure; Cu Ka).
Neutral-atom scattering factors, no anomalous dispersion.

Structure:
```
data_Na2LiTlCl4
_cell_length_a 4.0884
_cell_length_b 13.9774
_cell_length_c 14.0713
_cell_angle_alpha 90.00
_cell_angle_beta 90.00
_cell_angle_gamma 90.00
_space_group_name_H-M_alt 'C m c m'
_space_group_IT_number 63
_space_group_name_Hall '-C 2c 2'
loop_
_atom_site_label
_atom_site_type_symbol
_atom_site_fract_x
_atom_site_fract_y
_atom_site_fract_z
_atom_site_occupancy
Na1 Na 0.0000 0.1273 0.0467 1
Li1 Li 0.0000 0.3422 0.7500 1
Tl1 Tl 0.0000 0.3845 0.2500 1
Cl1 Cl 0.0000 0.0705 0.2500 1
Cl2 Cl 0.0000 0.2415 0.6174 1
Cl3 Cl 0.0000 0.5000 0.0000 1
```

The 10 most intense peaks (2θ = 10–80°), by angle:
2θ/deg	I/Imax
12.58	45
14.15	68
22.83	38
25.32	20
28.52	25
29.73	100
31.78	33
36.23	20
39.40	22
41.17	20

=====

(4)
Structure and theoretical powder diffractogram of LiNb3Cl8 (a GGA-PBE-relaxed structure; Cu Ka).
Neutral-atom scattering factors, no anomalous dispersion.

Structure:
```
data_LiNb3Cl8
_cell_length_a 13.0479
_cell_length_b 13.4703
_cell_length_c 13.6466
_cell_angle_alpha 90.00
_cell_angle_beta 90.00
_cell_angle_gamma 90.00
_space_group_name_H-M_alt 'C m c e'
_space_group_IT_number 64
_space_group_name_Hall '-C 2ac 2'
loop_
_atom_site_label
_atom_site_type_symbol
_atom_site_fract_x
_atom_site_fract_y
_atom_site_fract_z
_atom_site_occupancy
Li1 Li 0.0000 0.0803 0.0867 1
Nb1 Nb 0.0000 0.0903 0.3779 1
Nb2 Nb 0.0000 0.1240 0.5895 1
Nb3 Nb 0.1595 0.0000 0.5000 1
Cl1 Cl 0.0000 0.0402 0.7514 1
Cl2 Cl 0.0000 0.2056 0.2063 1
Cl3 Cl 0.0000 0.2458 0.9604 1
Cl4 Cl 0.1349 0.0000 0.0000 1
Cl5 Cl 0.1863 0.1087 0.3571 1
Cl6 Cl 0.1866 0.1458 0.6069 1
```

The 10 most intense peaks (2θ = 10–80°), by angle:
2θ/deg	I/Imax
11.45	100
12.97	15
13.15	13
13.57	17
27.34	6
35.66	11
37.53	18
39.52	8
41.53	10
57.20	7

=====

(5)
Structure and theoretical powder diffractogram of LiNb6Cl19 (a GGA-PBE-relaxed structure; Cu Ka).
Neutral-atom scattering factors, no anomalous dispersion.

Structure:
```
data_LiNb6Cl19
_cell_length_a 28.6863
_cell_length_b 6.8798
_cell_length_c 7.1535
_cell_angle_alpha 90.00
_cell_angle_beta 90.00
_cell_angle_gamma 90.00
_space_group_name_H-M_alt 'P m m a'
_space_group_IT_number 51
_space_group_name_Hall '-P 2a 2a'
loop_
_atom_site_label
_atom_site_type_symbol
_atom_site_fract_x
_atom_site_fract_y
_atom_site_fract_z
_atom_site_occupancy
Li1 Li 0.0000 0.0000 0.0000 1
Nb1 Nb 0.1070 0.2879 0.1487 1
Nb2 Nb 0.1901 0.5000 0.2632 1
Cl1 Cl 0.0529 0.5000 0.3129 1
Cl2 Cl 0.0569 0.2537 0.8810 1
Cl3 Cl 0.0580 0.0000 0.2855 1
Cl4 Cl 0.1513 0.2499 0.4421 1
Cl5 Cl 0.1537 0.0000 0.0216 1
Cl6 Cl 0.1552 0.5000 0.9484 1
Cl7 Cl 0.2500 0.2648 0.1305 1
Cl8 Cl 0.2500 0.5000 0.5297 1
```

The 10 most intense peaks (2θ = 10–80°), by angle:
2θ/deg	I/Imax
12.35	62
12.75	100
12.87	24
14.28	10
15.47	11
18.16	15
33.25	20
34.48	22
36.34	30
46.33	10

=====

(6)
Structure and theoretical powder diffractogram of Li2NdCl5 (a GGA-PBE-relaxed structure; Cu Ka).
Neutral-atom scattering factors, no anomalous dispersion.

Structure:
```
data_Li2NdCl5
_cell_length_a 12.9129
_cell_length_b 6.9514
_cell_length_c 9.9431
_cell_angle_alpha 90.00
_cell_angle_beta 113.60
_cell_angle_gamma 90.00
_space_group_name_H-M_alt 'C 1 2/c 1'
_space_group_IT_number 15
_space_group_name_Hall '-C 2yc'
loop_
_atom_site_label
_atom_site_type_symbol
_atom_site_fract_x
_atom_site_fract_y
_atom_site_fract_z
_atom_site_occupancy
Li1 Li 0.1249 0.0293 0.1835 1
Nd1 Nd 0.0000 0.5000 0.0000 1
Cl1 Cl 0.0000 0.3184 0.7500 1
Cl2 Cl 0.0812 0.1563 0.4454 1
Cl3 Cl 0.2060 0.3416 0.1619 1
```

The 10 most intense peaks (2θ = 10–80°), by angle:
2θ/deg	I/Imax
14.78	100
14.97	77
19.25	50
21.98	52
25.97	31
29.43	31
30.19	44
38.82	30
39.11	39
45.96	38